# LiB12C3
Theoretical powder X-ray diffraction pattern, a wavelength of 1.5418 Å. Input: the GGA-PBE geometry in Alexandria.

Largest 10 diffraction maxima, low angle first, 10° ≤ 2θ ≤ 80°:
- 2θ = 15.44°, intensity 100
- 2θ = 19.17°, intensity 76
- 2θ = 22.80°, intensity 20
- 2θ = 24.33°, intensity 10
- 2θ = 24.58°, intensity 19
- 2θ = 33.07°, intensity 18
- 2θ = 35.28°, intensity 17
- 2θ = 35.47°, intensity 6
- 2θ = 40.93°, intensity 5
- 2θ = 63.06°, intensity 6

```
LiB12C3
1.0
4.4883 -4.6294 0.0000
4.4883 4.6294 0.0000
-3.8266 0.0000 7.2438
Li B C
2 24 6
Direct
0.2233 0.7767 0.5000
0.7767 0.2233 0.0000
0.0291 0.4601 0.9408
0.1053 0.9857 0.9247
0.1600 0.7850 0.0441
0.1695 0.3188 0.4377
0.1778 0.3080 0.0748
0.2728 0.4091 0.3102
0.3080 0.1778 0.5748
0.3188 0.1695 0.9377
0.3814 0.8228 0.2452
0.4091 0.2728 0.8102
0.4167 0.6423 0.0519
0.4601 0.0291 0.4408
0.5355 0.5726 0.3918
0.5726 0.5355 0.8918
0.6423 0.4167 0.5519
0.6819 0.8721 0.4826
0.7028 0.7080 0.1228
0.7080 0.7028 0.6228
0.7850 0.1600 0.5441
0.8228 0.3814 0.7452
0.8721 0.6819 0.9826
0.8894 0.9543 0.1907
0.9543 0.8894 0.6907
0.9857 0.1053 0.4247
0.2686 0.4102 0.9495
0.4102 0.2686 0.4495
0.5991 0.6776 0.2645
0.6776 0.5991 0.7645
0.9471 0.9739 0.5414
0.9739 0.9471 0.0414
```

=====

# Nd3Si4Rh2
Theoretical powder X-ray diffraction pattern, a wavelength of 1.5418 Å. Input: the GGA-PBE geometry in Alexandria.

Largest 10 diffraction maxima, low angle first, 10° ≤ 2θ ≤ 80°:
- 2θ = 25.24°, intensity 38
- 2θ = 31.98°, intensity 54
- 2θ = 32.48°, intensity 48
- 2θ = 32.76°, intensity 95
- 2θ = 33.00°, intensity 100
- 2θ = 42.19°, intensity 39
- 2θ = 43.45°, intensity 72
- 2θ = 44.97°, intensity 33
- 2θ = 61.72°, intensity 25
- 2θ = 62.62°, intensity 24

```
Nd3Si4Rh2
1.0
5.6691 -2.0159 0.0000
5.6691 2.0159 0.0000
-1.5011 0.0000 8.2710
Nd Si Rh
3 4 2
Direct
0.0000 0.0000 0.0000
0.3327 0.3327 0.3364
0.6673 0.6673 0.6636
0.0505 0.0505 0.3856
0.2763 0.2763 0.9351
0.7237 0.7237 0.0649
0.9495 0.9495 0.6144
0.3931 0.3931 0.7239
0.6069 0.6069 0.2761
```

=====

# URuI
Theoretical powder X-ray diffraction pattern, a wavelength of 1.5418 Å. Input: the GGA-PBE geometry in Alexandria.

Largest 10 diffraction maxima, low angle first, 10° ≤ 2θ ≤ 80°:
- 2θ = 22.74°, intensity 57
- 2θ = 26.59°, intensity 88
- 2θ = 27.06°, intensity 100
- 2θ = 31.16°, intensity 45
- 2θ = 32.56°, intensity 56
- 2θ = 33.32°, intensity 59
- 2θ = 33.91°, intensity 50
- 2θ = 37.82°, intensity 49
- 2θ = 41.16°, intensity 44
- 2θ = 44.68°, intensity 45

```
URuI
1.0
4.0580 0.0000 0.0000
-2.0259 4.4103 0.0000
-1.7689 -1.1042 10.5738
U Ru I
2 2 2
Direct
0.1901 0.2957 0.0973
0.8099 0.7043 0.9027
0.4551 0.8190 0.1048
0.5449 0.1810 0.8952
0.2647 0.8193 0.6671
0.7353 0.1807 0.3329
```

=====

# Er6TmTh3
Theoretical powder X-ray diffraction pattern, a wavelength of 1.5418 Å. Input: the GGA-PBE geometry in Alexandria.

Largest 10 diffraction maxima, low angle first, 10° ≤ 2θ ≤ 80°:
- 2θ = 18.16°, intensity 13
- 2θ = 29.00°, intensity 56
- 2θ = 31.73°, intensity 100
- 2θ = 31.88°, intensity 21
- 2θ = 36.94°, intensity 14
- 2θ = 41.45°, intensity 21
- 2θ = 43.52°, intensity 19
- 2θ = 54.85°, intensity 19
- 2θ = 56.55°, intensity 28
- 2θ = 66.31°, intensity 18

```
Er6TmTh3
1.0
4.8844 2.8200 3.9673
-4.8844 2.8200 3.9673
0.0000 -5.6400 3.9673
Er Tm Th
6 1 3
Direct
0.0803 0.4144 0.7494
0.2506 0.9197 0.5856
0.4144 0.7494 0.0803
0.5856 0.2506 0.9197
0.7494 0.0803 0.4144
0.9197 0.5856 0.2506
0.0000 0.0000 0.0000
0.2489 0.2489 0.2489
0.5000 0.5000 0.5000
0.7511 0.7511 0.7511
```